No. 1
For Er5Os2Au2, a DFT-relaxed cell (GGA-PBE, Alexandria) gives the calculated powder diffractogram in this record (a wavelength of 1.5418 Å).
Neutral-atom scattering factors, no anomalous dispersion.

Crystal structure
```
18
Lattice="7.7187 -3.6767 0.0000 7.7187 3.6767 0.0000 0.0000 0.0000 7.4470" Properties=species:S:1:pos:R:3 pbc="T T T"
Er 0.0000 0.0000 0.0000
Er 5.7235 2.3710 5.0469
Er 5.7235 1.3058 1.3234
Er 9.7138 2.3710 5.0469
Er 9.7138 1.3058 1.3234
Er 7.7187 0.0000 3.7235
Er 5.7235 -1.3058 6.1236
Er 5.7235 -2.3710 2.4001
Er 9.7138 -1.3058 6.1236
Er 9.7138 -2.3710 2.4001
Os 7.7187 2.8053 2.8327
Os 7.7187 0.8714 6.5562
Os 7.7187 -0.8714 0.8908
Os 7.7187 -2.8053 4.6143
Au 3.2812 0.0000 0.0000
Au 4.4375 0.0000 3.7235
Au 10.9999 0.0000 3.7235
Au 12.1561 0.0000 0.0000
```

Most intense lines, 2θ from 15° to 90°, low angle first:
2θ/deg	I_rel
32.07	82
33.44	68
33.68	100
34.28	61
35.82	85
38.73	52
39.13	50
39.86	35
44.61	41
72.26	28



No. 2
For Er5OsAu2, a DFT-relaxed cell (GGA-PBE, Alexandria) gives the calculated powder diffractogram in this record (a wavelength of 1.5418 Å).
Neutral-atom scattering factors, no anomalous dispersion.

Crystal structure
```
16
Lattice="7.0142 0.0000 0.0000 0.0000 11.7699 0.0000 0.0000 0.0000 4.7360" Properties=species:S:1:pos:R:3 pbc="T T T"
Er 0.0000 0.0000 0.0000
Er 1.0656 3.4267 0.0000
Er 1.2313 6.9218 2.3680
Er 2.2758 1.0369 2.3680
Er 2.4415 9.3116 0.0000
Er 3.5071 5.8849 0.0000
Er 4.5727 2.4583 0.0000
Er 4.7384 10.7330 2.3680
Er 5.7829 4.8481 2.3680
Er 5.9486 8.3432 0.0000
Os 0.0000 5.8849 0.0000
Os 3.5071 0.0000 0.0000
Au 0.5131 9.8707 2.3680
Au 2.9940 3.9857 2.3680
Au 4.0202 7.7842 2.3680
Au 6.5010 1.8992 2.3680
```

Most intense lines, 2θ from 15° to 90°, low angle first:
2θ/deg	I_rel
27.31	18
32.26	42
32.67	100
33.01	36
34.30	24
35.31	66
35.93	71
38.00	66
44.90	18
51.20	21



No. 3
For ErPaRuAu, a DFT-relaxed cell (GGA-PBE, Alexandria) gives the calculated powder diffractogram in this record (a wavelength of 1.5418 Å).
Neutral-atom scattering factors, no anomalous dispersion.

Crystal structure
```
4
Lattice="0.0000 3.5029 3.5029 3.5029 0.0000 3.5029 3.5029 3.5029 0.0000" Properties=species:S:1:pos:R:3 pbc="T T T"
Er 0.0000 0.0000 0.0000
Pa 3.5029 3.5029 3.5029
Ru 1.7514 1.7514 1.7514
Au 5.2543 5.2543 5.2543
```

Most intense lines, 2θ from 15° to 90°, low angle first:
2θ/deg	I_rel
21.98	6
25.43	2
36.27	100
42.81	3
52.23	18
57.33	2
65.24	37
77.00	12
81.24	1
88.21	17



No. 4
For Er4PbAu, a DFT-relaxed cell (GGA-PBE, Alexandria) gives the calculated powder diffractogram in this record (a wavelength of 1.5418 Å).
Neutral-atom scattering factors, no anomalous dispersion.

Crystal structure
```
12
Lattice="5.5234 0.0000 0.0000 0.0000 6.8414 0.0000 -1.3784 0.0000 8.6509" Properties=species:S:1:pos:R:3 pbc="T T T"
Er 0.8286 1.7104 0.4818
Er 0.7049 5.1311 3.1508
Er 0.6678 3.4930 6.4554
Er 0.6678 6.7691 6.4554
Er 3.4771 0.0723 2.1955
Er 3.4771 3.3484 2.1955
Er 3.4400 1.7104 5.5001
Er 3.3164 5.1311 8.1691
Pb 0.6913 1.7104 3.6431
Pb 3.4537 5.1311 5.0077
Au 1.8480 5.1311 0.4289
Au 2.2970 1.7104 8.2220
```

Most intense lines, 2θ from 15° to 90°, low angle first:
2θ/deg	I_rel
26.05	16
31.73	35
32.80	77
33.41	100
35.41	30
37.50	28
45.02	18
53.58	15
64.23	13
65.09	14



No. 5
For ErPd2Au6, a DFT-relaxed cell (GGA-PBE, Alexandria) gives the calculated powder diffractogram in this record (a wavelength of 1.5418 Å).
Neutral-atom scattering factors, no anomalous dispersion.

Crystal structure
```
9
Lattice="6.2902 -2.0482 0.0000 6.2902 2.0482 0.0000 -2.1225 0.0000 6.3173" Properties=species:S:1:pos:R:3 pbc="T T T"
Er 0.0000 0.0000 0.0000
Pd 4.2103 0.0000 4.2408
Pd 6.2476 0.0000 2.0765
Au -0.0357 0.0000 4.1860
Au 2.1065 0.0000 2.1360
Au 2.0697 0.0000 6.2706
Au 8.3882 0.0000 0.0467
Au 8.3514 0.0000 4.1813
Au 10.4936 0.0000 2.1313
```

Most intense lines, 2θ from 15° to 90°, low angle first:
2θ/deg	I_rel
37.33	100
37.44	99
42.95	34
43.15	33
44.22	31
63.35	21
63.49	21
74.93	13
75.16	26
76.83	25



No. 6
For ErPd3Au7, a DFT-relaxed cell (GGA-PBE, Alexandria) gives the calculated powder diffractogram in this record (a wavelength of 1.5418 Å).
Neutral-atom scattering factors, no anomalous dispersion.

Crystal structure
```
11
Lattice="-2.5684 4.2614 4.9317 2.5684 -4.2614 4.9317 2.5684 4.2614 -4.9317" Properties=species:S:1:pos:R:3 pbc="T T T"
Er 0.0000 0.0000 0.0000
Pd 2.5684 0.0000 2.6326
Pd 0.0000 0.0000 4.9317
Pd 0.0000 4.2614 2.2992
Au 2.5684 0.0000 0.0000
Au 2.5684 2.7976 -2.3469
Au 0.0000 2.8032 0.0000
Au 0.0000 1.4638 2.5848
Au 2.5684 2.7976 2.3469
Au 0.0000 5.7196 0.0000
Au 0.0000 1.4638 7.2787
```

Most intense lines, 2θ from 15° to 90°, low angle first:
2θ/deg	I_rel
27.67	15
32.81	20
34.93	62
36.44	52
38.78	15
40.64	100
51.37	40
66.52	24
68.43	26
87.98	18